[1]
# Fe6O5F7
Theoretical PXRD pattern, CuKα. Input: a GGA+U-relaxed structure.

Atomic structure:
Cell lengths 8.9830, 6.9521, 7.2968 Å; angles 90.00, 111.98, 90.00 degrees
Space group C2 (No. 5)
Symmetry-distinct sites (fractional):
1 Fe 0.0000 0.0000 0.0000 x2
2 Fe 0.0000 0.0219 0.5000 x2
3 Fe 0.1423 0.5308 0.1591 x4
4 Fe 0.1678 0.5256 0.6428 x4
5 O 0.0000 0.7279 0.0000 x2
6 O 0.0543 0.5237 0.3636 x4
7 O 0.1005 0.0218 0.3005 x4
8 F 0.0000 0.3032 0.0000 x2
9 F 0.1667 0.2173 0.6681 x4
10 F 0.1711 0.8331 0.6708 x4
11 F 0.2379 0.0202 0.0374 x4

Peak list (10 most intense, 2θ = 5–70°, sorted by position)
2θ 25.63, rel. 100
2θ 27.03, rel. 92
2θ 34.63, rel. 50
2θ 34.79, rel. 47
2θ 51.24, rel. 31
2θ 51.35, rel. 30
2θ 52.68, rel. 46
2θ 53.05, rel. 25
2θ 60.24, rel. 25
2θ 65.84, rel. 21

[2]
# Fe2OF3
Theoretical PXRD pattern, CuKα. Input: a GGA+U-relaxed structure.

Atomic structure:
Cell lengths 19.5869, 6.1578, 4.8772 Å; angles 90.00, 91.79, 90.00 degrees
Space group C2/m (No. 12)
Symmetry-distinct sites (fractional):
1 Fe 0.0000 0.0000 0.0000 x2
2 Fe 0.0000 0.5000 0.0000 x2
3 Fe 0.1240 0.2463 0.4998 x8
4 Fe 0.2404 0.5000 0.9669 x4
5 O 0.0793 0.0000 0.3182 x4
6 O 0.1670 0.5000 0.6670 x4
7 F 0.0518 0.2553 0.7904 x8
8 F 0.0738 0.5000 0.3014 x4
9 F 0.1781 0.0000 0.7065 x4
10 F 0.1984 0.2496 0.2047 x8

Peak list (10 most intense, 2θ = 5–70°, sorted by position)
2θ 25.38, rel. 95
2θ 26.20, rel. 98
2θ 34.43, rel. 100
2θ 38.91, rel. 19
2θ 39.48, rel. 17
2θ 50.82, rel. 61
2θ 51.74, rel. 55
2θ 52.13, rel. 23
2θ 64.66, rel. 21
2θ 64.89, rel. 21

[3]
# Fe3O5F
Theoretical PXRD pattern, CuKα. Input: a GGA+U-relaxed structure.

Atomic structure:
Cell lengths 9.0349, 6.4060, 6.7044 Å; angles 90.00, 90.00, 90.00 degrees
Space group Amm2 (No. 38)
Symmetry-distinct sites (fractional):
1 Fe 0.0000 0.0000 0.0000 x2
2 Fe 0.1604 0.0000 0.4931 x4
3 Fe 0.3332 0.0000 0.0215 x4
4 Fe 0.5000 0.0000 0.4903 x2
5 O 0.0000 0.0000 0.2986 x2
6 O 0.0000 0.0000 0.6864 x2
7 O 0.1698 0.1931 0.0011 x8
8 O 0.3279 0.0000 0.3198 x4
9 O 0.5000 0.1931 0.0094 x4
10 F 0.3352 0.0000 0.7019 x4

Peak list (10 most intense, 2θ = 5–70°, sorted by position)
2θ 26.59, rel. 97
2θ 27.85, rel. 93
2θ 35.56, rel. 100
2θ 38.89, rel. 19
2θ 52.99, rel. 58
2θ 54.42, rel. 54
2θ 54.77, rel. 16
2θ 57.55, rel. 15
2θ 61.59, rel. 15
2θ 68.27, rel. 49

[4]
# Fe2O3F
Theoretical PXRD pattern, CuKα. Input: a GGA+U-relaxed structure.

Atomic structure:
Cell lengths 6.4010, 6.8945, 5.9971 Å; angles 90.00, 90.00, 90.00 degrees
Space group Cmcm (No. 63)
Symmetry-distinct sites (fractional):
1 Fe 0.0000 0.0000 0.0000 x4
2 Fe 0.0000 0.4666 0.2500 x4
3 O 0.0000 0.1782 0.2500 x4
4 O 0.1925 0.5000 0.0000 x8
5 F 0.0000 0.2010 0.7500 x4

Peak list (10 most intense, 2θ = 5–70°, sorted by position)
2θ 25.85, rel. 100
2θ 27.88, rel. 95
2θ 35.53, rel. 98
2θ 38.38, rel. 18
2θ 39.85, rel. 17
2θ 41.27, rel. 17
2θ 44.50, rel. 16
2θ 52.14, rel. 56
2θ 54.43, rel. 53
2θ 67.56, rel. 37